# 1
Computed X-ray powder pattern of TbBi3 for Cu Ka, from a crystal structure in the Materials Project, relaxed with PBE.
Kinematic intensities with the Lorentz-polarization factor, no thermal factor.

```
TbBi3
1.0
4.6867 0.0000 0.0000
0.0000 4.6867 0.0000
0.0000 0.0000 11.0279
Tb Bi
2 6
Direct
0.0000 0.0000 0.0000 Tb
0.5000 0.5000 0.5000 Tb
0.0000 0.0000 0.5000 Bi
0.0000 0.5000 0.2500 Bi
0.0000 0.5000 0.7500 Bi
0.5000 0.0000 0.2500 Bi
0.5000 0.0000 0.7500 Bi
0.5000 0.5000 0.0000 Bi
```

Most intense lines, 2θ = 15–90°, by intensity:
2theta	intensity
31.5	100
38.4	30
51.2	26
65.2	26
32.5	23
57.3	19


# 2
Computed X-ray powder pattern of KGdHf2O6 for Cu Ka, from a crystal structure in the Materials Project, relaxed with PBE.
Kinematic intensities with the Lorentz-polarization factor, no thermal factor.

```
KGdHf2O6
1.0
0.0000 4.1125 4.1125
4.1125 0.0000 4.1125
4.1125 4.1125 0.0000
K Gd Hf O
1 1 2 6
Direct
0.0000 0.0000 0.0000 K
0.5000 0.5000 0.5000 Gd
0.2500 0.2500 0.2500 Hf
0.7500 0.7500 0.7500 Hf
0.0000 0.0000 0.5000 O
0.0000 0.5000 0.0000 O
0.0000 0.5000 0.5000 O
0.5000 0.0000 0.0000 O
0.5000 0.0000 0.5000 O
0.5000 0.5000 0.0000 O
```

Most intense lines, 2θ = 15–90°, by intensity:
2theta	intensity
30.7	100
54.7	41
44.0	29
89.1	22
64.0	18
72.7	18


# 3
Computed X-ray powder pattern of Ag3S for Cu Ka, from a crystal structure in the Materials Project, relaxed with PBE.
Kinematic intensities with the Lorentz-polarization factor, no thermal factor.

```
Ag3S
1.0
5.9755 0.0000 0.0000
-2.9878 5.1750 0.0000
0.0000 0.0000 4.6714
Ag S
6 2
Direct
0.1649 0.3299 0.2500 Ag
0.1649 0.8351 0.2500 Ag
0.3299 0.1649 0.7500 Ag
0.6701 0.8351 0.2500 Ag
0.8351 0.1649 0.7500 Ag
0.8351 0.6701 0.7500 Ag
0.3333 0.6667 0.7500 S
0.6667 0.3333 0.2500 S
```

Most intense lines, 2θ = 15–90°, by intensity:
2theta	intensity
39.8	100
34.7	25
38.5	24
75.6	19
70.6	17
62.1	17


# 4
Computed X-ray powder pattern of AlSn2O4 for Cu Ka, from a crystal structure in the Materials Project, relaxed with PBE.
Kinematic intensities with the Lorentz-polarization factor, no thermal factor.

```
AlSn2O4
1.0
4.0197 -5.8242 0.0000
4.0197 5.8242 0.0000
-3.8870 0.0000 4.0226
Al Sn O
2 4 8
Direct
0.1268 0.8732 0.7500 Al
0.8732 0.1268 0.2500 Al
0.0000 0.5000 0.0000 Sn
0.5000 0.0000 0.5000 Sn
0.5000 0.5000 0.0000 Sn
0.5000 0.5000 0.5000 Sn
0.0807 0.2807 0.6973 O
0.1070 0.4152 0.3274 O
0.2807 0.0807 0.1973 O
0.4152 0.1070 0.8274 O
0.5848 0.8930 0.1726 O
0.7193 0.9193 0.8027 O
0.8930 0.5848 0.6726 O
0.9193 0.7193 0.3027 O
```

Most intense lines, 2θ = 15–90°, by intensity:
2theta	intensity
34.6	100
35.6	92
55.6	76
17.1	73
17.6	70
27.7	60


# 5
Computed X-ray powder pattern of KRb5Zn4Sn5S17 for Cu Ka, from a crystal structure in the Materials Project, relaxed with PBE.
Kinematic intensities with the Lorentz-polarization factor, no thermal factor.

```
KRb5Zn4Sn5S17
1.0
10.0740 0.0000 0.0000
4.9888 9.9687 0.0000
5.0178 -0.0216 9.9763
K Rb Zn Sn S
1 5 4 5 17
Direct
0.0000 0.0000 0.0000 K
0.2504 0.4833 0.0085 Rb
0.2580 0.0017 0.4828 Rb
0.6304 0.5404 0.6346 Rb
0.7441 0.9997 0.5120 Rb
0.7439 0.5137 0.0037 Rb
0.2291 0.1383 0.1382 Zn
0.5048 0.8638 0.8625 Zn
0.6336 0.8609 0.1374 Zn
0.6348 0.1361 0.8612 Zn
0.2526 0.4977 0.4958 Sn
0.2793 0.2231 0.7777 Sn
0.2813 0.7775 0.2215 Sn
0.4979 0.2212 0.2197 Sn
0.9435 0.7775 0.7778 Sn
0.0853 0.2737 0.0065 S
0.0856 0.0063 0.2720 S
0.1159 0.3553 0.6440 S
0.1162 0.6450 0.3542 S
0.2158 0.2793 0.2789 S
0.2412 0.6440 0.6422 S
0.3674 0.9930 0.7247 S
0.3676 0.7248 0.9905 S
0.5004 0.0003 0.0002 S
0.5070 0.7197 0.2775 S
0.5079 0.2777 0.7199 S
0.5311 0.3535 0.3529 S
0.6424 0.2745 0.9905 S
0.6433 0.9930 0.2714 S
0.7732 0.7214 0.7206 S
0.9098 0.0061 0.7237 S
0.9096 0.7248 0.0059 S
```

Most intense lines, 2θ = 15–90°, by intensity:
2theta	intensity
25.2	100
26.7	70
21.7	65
25.1	63
27.5	61
19.9	39


# 6
Computed X-ray powder pattern of Y2Hf2O7 for Cu Ka, from a crystal structure in the Materials Project, relaxed with PBE.
Kinematic intensities with the Lorentz-polarization factor, no thermal factor.

```
Y2Hf2O7
1.0
0.0000 5.2631 5.2631
5.2631 0.0000 5.2631
5.2631 5.2631 0.0000
Y Hf O
4 4 14
Direct
0.0000 0.0000 0.0000 Y
0.0000 0.0000 0.5000 Y
0.0000 0.5000 0.0000 Y
0.5000 0.0000 0.0000 Y
0.0000 0.5000 0.5000 Hf
0.5000 0.0000 0.5000 Hf
0.5000 0.5000 0.0000 Hf
0.5000 0.5000 0.5000 Hf
0.1250 0.1250 0.1250 O
0.1627 0.1627 0.5873 O
0.1627 0.5873 0.1627 O
0.1627 0.5873 0.5873 O
0.4127 0.4127 0.8373 O
0.4127 0.8373 0.4127 O
0.4127 0.8373 0.8373 O
0.5873 0.1627 0.1627 O
0.5873 0.1627 0.5873 O
0.5873 0.5873 0.1627 O
0.8373 0.4127 0.4127 O
0.8373 0.4127 0.8373 O
0.8373 0.8373 0.4127 O
0.8750 0.8750 0.8750 O
```

Most intense lines, 2θ = 15–90°, by intensity:
2theta	intensity
29.4	100
49.0	48
58.1	44
34.1	33
79.4	18
81.8	14


# 7
Computed X-ray powder pattern of CsLiMg6 for Cu Ka, from a crystal structure in the Materials Project, relaxed with PBE.
Kinematic intensities with the Lorentz-polarization factor, no thermal factor.

```
CsLiMg6
1.0
5.5513 0.0000 0.0000
0.0000 6.5915 0.0000
0.0000 0.0000 12.3976
Cs Li Mg
2 2 12
Direct
0.0000 0.0000 0.0000 Cs
0.0000 0.5000 0.5000 Cs
0.0000 0.0000 0.4966 Li
0.0000 0.5000 0.9966 Li
0.0000 0.2478 0.2482 Mg
0.0000 0.2522 0.7482 Mg
0.0000 0.7478 0.7482 Mg
0.0000 0.7522 0.2482 Mg
0.5000 0.0000 0.1774 Mg
0.5000 0.0000 0.6610 Mg
0.5000 0.2304 0.4029 Mg
0.5000 0.2696 0.9029 Mg
0.5000 0.5000 0.1610 Mg
0.5000 0.5000 0.6774 Mg
0.5000 0.7304 0.9029 Mg
0.5000 0.7696 0.4029 Mg
```

Most intense lines, 2θ = 15–90°, by intensity:
2theta	intensity
34.8	100
22.1	91
15.2	84
33.1	63
32.3	42
30.2	36


# 8
Computed X-ray powder pattern of YHfMg14O16 for Cu Ka, from a crystal structure in the Materials Project, relaxed with PBE.
Kinematic intensities with the Lorentz-polarization factor, no thermal factor.

```
YHfMg14O16
1.0
4.3929 0.0000 0.0000
0.0000 8.7712 0.0000
0.0000 0.0000 8.7953
Y Hf Mg O
1 1 14 16
Direct
0.0000 0.0000 0.0000 Y
0.0000 0.0000 0.5000 Hf
0.0000 0.2606 0.2532 Mg
0.0000 0.2606 0.7468 Mg
0.0000 0.5000 0.0000 Mg
0.0000 0.5000 0.5000 Mg
0.0000 0.7394 0.2532 Mg
0.0000 0.7394 0.7468 Mg
0.5000 0.0000 0.2552 Mg
0.5000 0.0000 0.7448 Mg
0.5000 0.2586 0.5000 Mg
0.5000 0.2635 0.0000 Mg
0.5000 0.5000 0.2515 Mg
0.5000 0.5000 0.7485 Mg
0.5000 0.7365 0.0000 Mg
0.5000 0.7414 0.5000 Mg
0.0000 0.0000 0.2539 O
0.0000 0.0000 0.7461 O
0.0000 0.2604 0.5000 O
0.0000 0.2623 0.0000 O
0.0000 0.5000 0.2502 O
0.0000 0.5000 0.7498 O
0.0000 0.7377 0.0000 O
0.0000 0.7396 0.5000 O
0.5000 0.0000 0.0000 O
0.5000 0.0000 0.5000 O
0.5000 0.2516 0.2486 O
0.5000 0.2516 0.7514 O
0.5000 0.5000 0.0000 O
0.5000 0.5000 0.5000 O
0.5000 0.7484 0.2486 O
0.5000 0.7484 0.7514 O
```

Most intense lines, 2θ = 15–90°, by intensity:
2theta	intensity
41.1	100
59.5	88
22.6	63
20.2	56
35.4	51
41.2	49


# 9
Computed X-ray powder pattern of SrSnO3 for Cu Ka, from a crystal structure in the Materials Project, relaxed with PBE.
Kinematic intensities with the Lorentz-polarization factor, no thermal factor.

```
SrSnO3
1.0
4.1149 0.0000 0.0000
0.0000 4.1149 0.0000
0.0000 0.0000 4.1149
Sr Sn O
1 1 3
Direct
0.0000 0.0000 0.0000 Sr
0.5000 0.5000 0.5000 Sn
0.0000 0.5000 0.5000 O
0.5000 0.0000 0.5000 O
0.5000 0.5000 0.0000 O
```

Most intense lines, 2θ = 15–90°, by intensity:
2theta	intensity
30.7	100
54.6	41
44.0	33
89.0	24
64.0	21
72.7	19


# 10
Computed X-ray powder pattern of HoNiB4 for Cu Ka, from a crystal structure in the Materials Project, relaxed with PBE.
Kinematic intensities with the Lorentz-polarization factor, no thermal factor.

```
HoNiB4
1.0
-3.7560 3.7560 4.2484
3.7560 -3.7560 4.2484
3.7560 3.7560 -4.2484
Ho Ni B
4 4 16
Direct
0.2026 0.2026 0.0000 Ho
0.2500 0.7500 0.5000 Ho
0.7500 0.2500 0.5000 Ho
0.7974 0.7974 0.0000 Ho
0.2714 0.5000 0.7714 Ni
0.5000 0.2714 0.7714 Ni
0.5000 0.7286 0.2286 Ni
0.7286 0.5000 0.2286 Ni
0.1116 0.2752 0.3868 B
0.1116 0.7248 0.8363 B
0.1139 0.1139 0.5333 B
0.1139 0.5805 0.0000 B
0.2752 0.1116 0.3868 B
0.2752 0.8884 0.1637 B
0.4195 0.4195 0.5333 B
0.4195 0.8861 0.0000 B
0.5805 0.1139 0.0000 B
0.5805 0.5805 0.4667 B
0.7248 0.1116 0.8363 B
0.7248 0.8884 0.6132 B
0.8861 0.4195 0.0000 B
0.8861 0.8861 0.4667 B
0.8884 0.2752 0.1637 B
0.8884 0.7248 0.6132 B
```

Most intense lines, 2θ = 15–90°, by intensity:
2theta	intensity
40.0	100
31.8	86
23.7	78
33.8	50
48.5	42
59.1	27


# 11
Computed X-ray powder pattern of SrZnPb for Cu Ka, from a crystal structure in the Materials Project, relaxed with PBE.
Kinematic intensities with the Lorentz-polarization factor, no thermal factor.

```
SrZnPb
1.0
4.7990 0.0000 0.0000
-2.3995 4.1561 0.0000
0.0000 0.0000 9.0827
Sr Zn Pb
2 2 2
Direct
0.0000 0.0000 0.0000 Sr
0.0000 0.0000 0.5000 Sr
0.3333 0.6667 0.2500 Zn
0.6667 0.3333 0.7500 Zn
0.3333 0.6667 0.7500 Pb
0.6667 0.3333 0.2500 Pb
```

Most intense lines, 2θ = 15–90°, by intensity:
2theta	intensity
29.1	100
37.5	67
55.7	42
23.5	42
19.5	29
42.6	25


# 12
Computed X-ray powder pattern of RbAl for Cu Ka, from a crystal structure in the Materials Project, relaxed with PBE.
Kinematic intensities with the Lorentz-polarization factor, no thermal factor.

```
RbAl
1.0
4.3158 0.0000 0.0000
0.0000 4.3158 0.0000
0.0000 0.0000 4.3158
Rb Al
1 1
Direct
0.0000 0.0000 0.0000 Rb
0.5000 0.5000 0.5000 Al
```

Most intense lines, 2θ = 15–90°, by intensity:
2theta	intensity
29.3	100
51.9	39
20.6	32
83.9	19
41.9	18
68.8	17